This entry pairs a crystal structure of PmPr5Sn4 with its theoretical powder X-ray diffraction pattern. Radiation: Cu Kα. Structure: a DFT-relaxed cell (PBE, Alexandria).
Kinematic intensities with the Lorentz-polarization factor, no thermal factor.

Cell lengths 8.7954, 8.7954, 7.3389 Å; angles 90.30, 90.30, 36.54 degrees
Sites, in units of the cell vectors:
Pm 0.0000 0.0000 0.0000
Pr 0.0000 0.0000 0.5000
Pr 0.3332 0.3332 0.9920
Pr 0.3342 0.3342 0.5054
Pr 0.6658 0.6658 0.4946
Pr 0.6668 0.6668 0.0080
Sn 0.1746 0.1746 0.2497
Sn 0.4917 0.4917 0.2462
Sn 0.5083 0.5083 0.7538
Sn 0.8254 0.8254 0.7503

Top 10 peaks for 2θ = 5–70°, sorted by position:
two_theta, I/Imax
22.7, 22
32.2, 54
32.5, 55
33.4, 100
33.5, 99
46.3, 39
58.0, 20
58.3, 19
58.6, 40
60.6, 27

=====

This entry pairs a crystal structure of AcPrTlAg with its theoretical powder X-ray diffraction pattern. Radiation: Cu Kα. Structure: a DFT-relaxed cell (PBE, Alexandria).
Kinematic intensities with the Lorentz-polarization factor, no thermal factor.

Cell lengths 3.8891, 3.8891, 8.1763 Å; angles 90.00, 90.00, 90.00 degrees
Sites, in units of the cell vectors:
Ac 0.0000 0.0000 0.0000
Pr 0.0000 0.0000 0.5250
Tl 0.5000 0.5000 0.2788
Ag 0.5000 0.5000 0.7431

Top 10 peaks for 2θ = 5–70°, sorted by position:
two_theta, I/Imax
25.4, 10
31.8, 100
32.6, 49
44.3, 9
46.7, 18
46.9, 5
56.1, 18
57.6, 37
66.3, 11
68.2, 6

=====

This entry pairs a crystal structure of La8Al7GaO24 with its theoretical powder X-ray diffraction pattern. Radiation: Cu Kα. Structure: a DFT-relaxed cell (PBE, Alexandria).
Kinematic intensities with the Lorentz-polarization factor, no thermal factor.

Cell lengths 7.6466, 7.6466, 7.6466 Å; angles 90.00, 90.00, 90.00 degrees
Sites, in units of the cell vectors:
La 0.2493 0.2493 0.2493
La 0.2493 0.2493 0.7507
La 0.2493 0.7507 0.2493
La 0.2493 0.7507 0.7507
La 0.7507 0.2493 0.2493
La 0.7507 0.2493 0.7507
La 0.7507 0.7507 0.2493
La 0.7507 0.7507 0.7507
Al 0.0000 0.0000 0.0000
Al 0.0000 0.0000 0.5000
Al 0.0000 0.5000 0.0000
Al 0.0000 0.5000 0.5000
Al 0.5000 0.0000 0.0000
Al 0.5000 0.0000 0.5000
Al 0.5000 0.5000 0.0000
Ga 0.5000 0.5000 0.5000
O 0.0000 0.0000 0.2496
O 0.0000 0.0000 0.7504
O 0.0000 0.2493 0.5000
O 0.0000 0.2496 0.0000
O 0.0000 0.5000 0.2493
O 0.0000 0.5000 0.7507
O 0.0000 0.7504 0.0000
O 0.0000 0.7507 0.5000
O 0.2443 0.5000 0.5000
O 0.2493 0.0000 0.5000
O 0.2493 0.5000 0.0000
O 0.2496 0.0000 0.0000
O 0.5000 0.0000 0.2493
O 0.5000 0.0000 0.7507
O 0.5000 0.2443 0.5000
O 0.5000 0.2493 0.0000
O 0.5000 0.5000 0.2443
O 0.5000 0.5000 0.7557
O 0.5000 0.7507 0.0000
O 0.5000 0.7557 0.5000
O 0.7504 0.0000 0.0000
O 0.7507 0.0000 0.5000
O 0.7507 0.5000 0.0000
O 0.7557 0.5000 0.5000

Top 10 peaks for 2θ = 5–70°, sorted by position:
two_theta, I/Imax
11.6, 1
16.4, 1
23.3, 38
26.1, 1
33.1, 100
40.9, 37
47.6, 36
53.6, 18
59.2, 39
69.5, 21